# 1
For BaSiC, a cell relaxed with PBE gives the simulated powder X-ray diffraction pattern in this record (copper Kα).
Intensities are scaled so that the largest is 100.

Structure:
```
data_BaSiC
_cell_length_a 8.9065
_cell_length_b 6.1198
_cell_length_c 11.4187
_cell_angle_alpha 90.00
_cell_angle_beta 90.00
_cell_angle_gamma 90.00
_space_group_name_H-M_alt 'P n m a'
_space_group_IT_number 62
loop_
_space_group_symop_operation_xyz
'x,y,z'
'-x,-y,-z'
'-x+1/2,-y,z+1/2'
'x+1/2,y,-z+1/2'
'x+1/2,-y+1/2,-z+1/2'
'-x+1/2,y+1/2,z+1/2'
'-x,y+1/2,-z'
'x,-y+1/2,z'
loop_
_atom_site_label
_atom_site_fract_x
_atom_site_fract_y
_atom_site_fract_z
_atom_site_occupancy
Ba1 0.0246 0.2500 0.1547 1
Ba2 0.1178 0.2500 0.5764 1
Si1 0.2154 0.5577 0.3402 1
C1 0.1465 0.2500 0.9341 1
C2 0.2035 0.7500 0.4831 1
```

Peak list (6 most intense, 5° ≤ 2θ ≤ 70°, in order of falling intensity)
d [Å], Position (°2θ), I (rel.), hkl
3.780, 23.5, 100, 1 1 2
3.601, 24.7, 31, 2 1 0
3.434, 25.9, 27, 2 1 1
3.060, 29.2, 21, 0 2 0
3.501, 25.4, 18, 1 0 3
2.304, 39.1, 17, 1 2 3

***

# 2
For AgBiP2Se6, a cell relaxed with PBE gives the simulated powder X-ray diffraction pattern in this record (copper Kα).
Intensities are scaled so that the largest is 100.

Structure:
```
data_AgBiP2Se6
_cell_length_a 6.7551
_cell_length_b 6.7551
_cell_length_c 43.0223
_cell_angle_alpha 90.00
_cell_angle_beta 90.00
_cell_angle_gamma 120.00
_space_group_name_H-M_alt 'R -3'
_space_group_IT_number 148
_space_group_name_Hall '-R 3'
loop_
_atom_site_label
_atom_site_fract_x
_atom_site_fract_y
_atom_site_fract_z
_atom_site_occupancy
Ag1 0.0000 0.0000 0.0941 1
Bi1 0.0000 0.0000 0.4126 1
P1 0.0000 0.0000 0.2242 1
P2 0.0000 0.0000 0.2774 1
Se1 0.0007 0.6269 0.3753 1
Se2 0.0110 0.6443 0.8744 1
```

Peak list (6 most intense, 5° ≤ 2θ ≤ 70°, in order of falling intensity)
d [Å], Position (°2θ), I (rel.), hkl
3.056, 29.2, 100, 2 -1 6
7.170, 12.3, 52, 0 0 6
1.950, 46.6, 50, 3 0 0
2.458, 36.6, 46, 1 1 12
3.466, 25.7, 18, 1 0 10
2.443, 36.8, 15, 1 0 16

***

# 3
For CaYPd2, a cell relaxed with PBE gives the simulated powder X-ray diffraction pattern in this record (copper Kα).
Intensities are scaled so that the largest is 100.

Structure:
```
data_CaYPd2
_cell_length_a 7.0411
_cell_length_b 7.0411
_cell_length_c 7.0411
_cell_angle_alpha 90.00
_cell_angle_beta 90.00
_cell_angle_gamma 90.00
_space_group_name_H-M_alt 'F m -3 m'
_space_group_IT_number 225
_space_group_name_Hall '-F 4 2 3'
loop_
_atom_site_label
_atom_site_fract_x
_atom_site_fract_y
_atom_site_fract_z
_atom_site_occupancy
Ca1 0.0000 0.0000 0.0000 1
Y1 0.0000 0.0000 0.5000 1
Pd1 0.2500 0.2500 0.2500 1
```

Peak list (6 most intense, 5° ≤ 2θ ≤ 70°, in order of falling intensity)
d [Å], Position (°2θ), I (rel.), hkl
2.489, 36.1, 100, 2 2 0
1.437, 64.9, 34, 4 2 2
1.760, 51.9, 17, 4 0 0
3.521, 25.3, 7, 2 0 0
4.065, 21.9, 5, 1 1 1
1.574, 58.6, 3, 4 2 0